1.
Structure and theoretical powder diffractogram of CeScPb2 (a cell relaxed with PBE; Cu Kα).

Main lines, sorted by position (2θ from 15° to 90°):
two_theta	I (rel.)
19.71	24
29.07	74
32.50	100
35.37	39
36.36	78
40.05	28
50.99	33
61.87	34
68.04	22
89.88	22

Atomic structure:
Lattice parameters (Å, degrees): 9.182 9.182 6.966 90.00 90.00 157.55
Element x y z (fractional)
Ce1 0.006 0.994 0.750
Ce2 0.994 0.006 0.250
Sc1 0.236 0.764 0.250
Sc2 0.764 0.236 0.750
Pb1 0.371 0.629 0.509
Pb2 0.371 0.629 0.991
Pb3 0.629 0.371 0.009
Pb4 0.629 0.371 0.491



2.
Structure and theoretical powder diffractogram of CeSc3Pb2 (a cell relaxed with PBE; Cu Kα).

Main lines, sorted by position (2θ from 15° to 90°):
two_theta	I (rel.)
22.97	100
28.74	27
30.79	54
32.81	32
36.30	97
38.84	22
41.09	49
47.60	32
53.55	32
71.75	27

Atomic structure:
Lattice parameters (Å, degrees): 4.393 4.393 8.190 90.00 90.00 90.00
Element x y z (fractional)
Ce1 0.000 0.000 0.000
Sc1 0.000 0.500 0.338
Sc2 0.500 0.000 0.662
Sc3 0.500 0.500 0.000
Pb1 0.000 0.500 0.706
Pb2 0.500 0.000 0.294



3.
Structure and theoretical powder diffractogram of CeSc14Pb (a cell relaxed with PBE; Cu Kα).

Main lines, sorted by position (2θ from 15° to 90°):
two_theta	I (rel.)
15.58	16
17.78	23
31.00	28
34.56	35
35.61	100
36.02	47
47.10	17
55.73	16
62.61	18
67.26	18

Atomic structure:
Lattice parameters (Å, degrees): 10.381 6.599 6.599 60.97 90.00 90.00
Element x y z (fractional)
Ce1 0.000 0.000 0.000
Sc1 0.000 0.006 0.514
Sc2 0.000 0.514 0.006
Sc3 0.246 0.344 0.344
Sc4 0.250 0.340 0.845
Sc5 0.250 0.845 0.340
Sc6 0.260 0.842 0.842
Sc7 0.500 0.014 0.014
Sc8 0.500 0.016 0.507
Sc9 0.500 0.507 0.016
Sc10 0.500 0.513 0.513
Sc11 0.740 0.842 0.842
Sc12 0.750 0.340 0.845
Sc13 0.750 0.845 0.340
Sc14 0.754 0.344 0.344
Pb1 0.000 0.516 0.516